Record 1
Theoretical powder diffractogram
Compound: Ac2SnBi5
Radiation: Cu Kα (λ = 1.5418 Å)
Structure: a structure optimized by DFT (PBE)
No peak broadening, texture or thermal motion is included.

Main lines, by angle (2θ from 10° to 90°):
30.48 deg, 2.933 Å, rel. 100.0; 34.46 deg, 2.603 Å, rel. 18.2; 34.73 deg, 2.583 Å, rel. 17.9; 36.79 deg, 2.443 Å, rel. 15.3; 49.73 deg, 1.833 Å, rel. 13.3; 51.29 deg, 1.781 Å, rel. 12.1; 59.28 deg, 1.559 Å, rel. 15.9; 59.63 deg, 1.550 Å, rel. 15.6; 62.39 deg, 1.488 Å, rel. 13.6; 63.43 deg, 1.466 Å, rel. 13.0

Structural model:
Cell lengths 7.139, 7.139, 5.166 Å; angles 90.00, 90.00, 93.63 degrees
Positions (direct):
Ac 0.249 0.751 0.000
Ac 0.751 0.249 0.000
Sn 0.500 0.500 0.500
Bi 0.000 0.000 0.500
Bi 0.000 0.500 0.500
Bi 0.253 0.253 0.000
Bi 0.500 0.000 0.500
Bi 0.747 0.747 0.000

---

Record 2
Theoretical powder diffractogram
Compound: BaUAsO6
Radiation: Cu Kα (λ = 1.5418 Å)
Structure: a structure optimized by DFT (PBE)
No peak broadening, texture or thermal motion is included.

Main lines, by angle (2θ from 10° to 90°):
15.45 deg, 5.735 Å, rel. 21.2; 18.57 deg, 4.777 Å, rel. 13.8; 24.25 deg, 3.670 Å, rel. 100.0; 31.19 deg, 2.867 Å, rel. 11.5; 32.46 deg, 2.758 Å, rel. 36.5; 40.93 deg, 2.205 Å, rel. 23.3; 45.64 deg, 1.988 Å, rel. 41.2; 51.49 deg, 1.775 Å, rel. 12.2; 53.19 deg, 1.722 Å, rel. 23.9; 57.92 deg, 1.592 Å, rel. 11.3

Structural model:
Cell lengths 5.516, 5.516, 5.735 Å; angles 90.00, 90.00, 120.00 degrees
Positions (direct):
Ba 0.000 0.000 0.000
U 0.667 0.333 0.500
As 0.333 0.667 0.500
O 0.025 0.394 0.691
O 0.025 0.631 0.309
O 0.369 0.394 0.309
O 0.369 0.975 0.691
O 0.606 0.631 0.691
O 0.606 0.975 0.309

---

Record 3
Theoretical powder diffractogram
Compound: Ho2Be7Au12
Radiation: Cu Kα (λ = 1.5418 Å)
Structure: a structure optimized by DFT (PBE)
No peak broadening, texture or thermal motion is included.

Main lines, by angle (2θ from 10° to 90°):
27.50 deg, 3.244 Å, rel. 27.2; 28.89 deg, 3.091 Å, rel. 10.0; 35.80 deg, 2.508 Å, rel. 100.0; 45.90 deg, 1.977 Å, rel. 14.3; 46.10 deg, 1.969 Å, rel. 14.7; 48.61 deg, 1.873 Å, rel. 13.1; 67.09 deg, 1.395 Å, rel. 9.6; 69.08 deg, 1.360 Å, rel. 9.2; 72.86 deg, 1.298 Å, rel. 9.2; 78.29 deg, 1.221 Å, rel. 10.8

Structural model:
Cell lengths 9.910, 9.910, 3.954 Å; angles 90.00, 90.00, 120.00 degrees
Positions (direct):
Ho 0.333 0.667 0.252
Ho 0.667 0.333 0.748
Be 0.000 0.000 0.000
Be 0.113 0.400 0.752
Be 0.287 0.887 0.752
Be 0.400 0.287 0.248
Be 0.600 0.713 0.752
Be 0.713 0.113 0.248
Be 0.887 0.600 0.248
Au 0.081 0.621 0.749
Au 0.120 0.860 0.252
Au 0.140 0.260 0.252
Au 0.260 0.120 0.748
Au 0.379 0.460 0.749
Au 0.460 0.081 0.251
Au 0.540 0.919 0.749
Au 0.621 0.540 0.251
Au 0.740 0.880 0.252
Au 0.860 0.740 0.748
Au 0.880 0.140 0.748
Au 0.919 0.379 0.251